The following is a simulated powder XRD pattern of H5PbCI3N2. It was derived from a cell relaxed with GGA-PBE, using Cu Kα (λ = 1.5418 Å).

Main lines, by angle (10° ≤ 2θ ≤ 90°):
2θ/deg, I (rel.), h k l
13.63, 100.0, 0 1 0
13.94, 43.4, 0 0 1
27.47, 87.1, 2 0 0
28.09, 40.0, 0 0 2
30.78, 37.5, 1 2 0
31.35, 35.4, 1 0 2
39.69, 58.8, 2 0 2
42.15, 35.4, 1 2 2

Structural model:
abc: 6.488 6.503 6.352
angles: 90.00 90.00 90.00
Space group Pmm2 (No. 25)
One atom of each set of equivalent atoms:
H 0.000 0.000 0.000
H 0.000 0.201 0.575
H 0.000 0.309 0.826
Pb 0.500 0.500 0.272
C 0.000 0.000 0.827
I 0.000 0.500 0.228
I 0.500 0.000 0.291
I 0.500 0.500 0.770
N 0.000 0.180 0.734

The following is a simulated powder XRD pattern of H12PbC2I6N2. It was derived from a cell relaxed with GGA-PBE, using Cu Kα (λ = 1.5418 Å).

Main lines, by angle (10° ≤ 2θ ≤ 90°):
2θ/deg, I (rel.), h k l
12.25, 100.0, 1 0 1
13.57, 62.9, 0 0 2
14.38, 85.3, 1 -1 0
23.75, 54.2, 1 2 1
23.93, 51.1, 2 -1 1
27.33, 80.3, 0 0 4
29.00, 86.7, 2 -2 0
32.51, 67.7, 3 -1 0

Structural model:
abc: 8.698 8.721 13.055
angles: 88.84 89.97 89.99
Space group P1 (No. 1)
One atom of each set of equivalent atoms:
H 0.000 0.000 0.000
H 0.003 0.408 0.493
H 0.046 0.340 0.982
H 0.064 0.208 0.879
H 0.069 0.071 0.488
H 0.079 0.201 0.380
H 0.197 0.200 0.984
H 0.211 0.220 0.485
H 0.361 0.767 0.996
H 0.428 0.723 0.482
H 0.487 0.780 0.092
H 0.501 0.900 0.991
H 0.549 0.560 0.988
H 0.564 0.704 0.379
H 0.565 0.687 0.879
H 0.569 0.573 0.487
H 0.637 0.909 0.495
H 0.641 0.787 0.594
H 0.699 0.701 0.983
H 0.769 0.768 0.499
H 0.859 0.132 0.997
H 0.870 0.268 0.496
H 0.983 0.124 0.095
H 0.993 0.285 0.593
Pb 0.063 0.693 0.219
Pb 0.568 0.204 0.720
C 0.078 0.224 0.961
C 0.094 0.189 0.463
C 0.546 0.691 0.462
C 0.580 0.676 0.962
I 0.055 0.696 0.455
I 0.067 0.711 0.982
I 0.250 0.984 0.218
I 0.283 0.392 0.717
I 0.353 0.512 0.218
I 0.391 0.909 0.722
I 0.572 0.193 0.956
I 0.579 0.200 0.483
I 0.761 0.490 0.717
I 0.772 0.883 0.218
I 0.864 0.020 0.720
I 0.879 0.403 0.222
N 0.477 0.787 0.013
N 0.655 0.794 0.516
N 0.974 0.114 0.017
N 0.983 0.294 0.514